No. 1
Computed X-ray diffraction stick pattern
Compound: PmDy5In2
Radiation: Cu Kα X-rays
Structure: a GGA-PBE-relaxed structure
Neutral-atom scattering factors, no anomalous dispersion.

Structure:
```
PmDy5In2
1.0
3.5939 0.0000 0.0000
0.0000 10.5239 0.0000
0.0000 0.0000 12.7310
Pm Dy In
2 10 4
direct
0.0000 0.0000 0.0000
0.5000 0.5000 0.5000
0.0000 0.2260 0.3651
0.0000 0.2260 0.6349
0.0000 0.5000 0.0000
0.0000 0.7740 0.3651
0.0000 0.7740 0.6349
0.5000 0.0000 0.5000
0.5000 0.2740 0.1349
0.5000 0.2740 0.8651
0.5000 0.7260 0.1349
0.5000 0.7260 0.8651
0.0000 0.5000 0.2599
0.0000 0.5000 0.7401
0.5000 0.0000 0.2401
0.5000 0.0000 0.7599
```

Top 12 peaks for 2θ from 5° to 70°, in order of falling intensity:
2theta  d [Å]  Rel. int.
32.89  2.723  100
30.94  2.890  90
32.65  2.743  62
34.08  2.631  41
47.91  1.899  34
61.86  1.500  32
59.62  1.551  27
50.80  1.797  19
35.77  2.510  17
62.60  1.484  14
58.51  1.577  13
43.57  2.077  13

=====

No. 2
Computed X-ray diffraction stick pattern
Compound: Zr2CdF11
Radiation: Cu Kα X-rays
Structure: a GGA-PBE-relaxed structure
Neutral-atom scattering factors, no anomalous dispersion.

Structure:
```
Zr2CdF11
1.0
-3.9719 5.0789 5.3868
3.9719 -5.0789 5.3868
3.9719 5.0789 -5.3868
Zr Cd F
4 2 22
direct
0.1813 0.1377 0.3190
0.3187 0.6377 0.9564
0.6813 0.3623 0.0436
0.8187 0.8623 0.6810
0.2500 0.7500 0.5000
0.7500 0.2500 0.5000
0.0000 0.0000 0.0000
0.0427 0.4679 0.7865
0.0555 0.8694 0.6574
0.1814 0.9679 0.4252
0.2120 0.3981 0.3426
0.2180 0.8748 0.0928
0.2820 0.3748 0.6568
0.2880 0.6306 0.1862
0.3186 0.7438 0.7865
0.4445 0.1019 0.8138
0.4573 0.2438 0.4252
0.5000 0.5000 0.0000
0.5427 0.7562 0.5748
0.5555 0.8981 0.1862
0.6814 0.2562 0.2135
0.7120 0.3694 0.8138
0.7180 0.6252 0.3432
0.7820 0.1252 0.9072
0.7880 0.6019 0.6574
0.8186 0.0321 0.5748
0.9445 0.1306 0.3426
0.9573 0.5321 0.2135
```

Top 12 peaks for 2θ from 5° to 70°, in order of falling intensity:
2theta  d [Å]  Rel. int.
21.77  4.082  100
24.08  3.695  63
25.46  3.499  50
44.44  2.039  46
49.28  1.849  41
22.36  3.977  34
46.70  1.945  31
28.66  3.115  18
14.15  6.258  17
48.89  1.863  17
45.20  2.006  17
16.46  5.387  16

=====

No. 3
Computed X-ray diffraction stick pattern
Compound: La3Tl2Pb
Radiation: Cu Kα X-rays
Structure: a GGA-PBE-relaxed structure
Neutral-atom scattering factors, no anomalous dispersion.

Structure:
```
La3Tl2Pb
1.0
3.6915 0.0000 0.0000
0.0000 3.6915 0.0000
0.0000 0.0000 13.7743
La Tl Pb
3 2 1
direct
0.0000 0.0000 0.0000
0.0000 0.0000 0.3299
0.0000 0.0000 0.6701
0.5000 0.5000 0.1654
0.5000 0.5000 0.8346
0.5000 0.5000 0.5000
```

Top 12 peaks for 2θ from 5° to 70°, in order of falling intensity:
2theta  d [Å]  Rel. int.
31.09  2.877  100
34.36  2.610  39
59.50  1.554  32
53.13  1.724  22
49.38  1.846  14
39.24  2.296  13
64.81  1.438  12
66.09  1.414  12
24.11  3.692  3
19.33  4.591  3
39.72  2.269  2
46.59  1.949  1

=====

No. 4
Computed X-ray diffraction stick pattern
Compound: Cr2Cu5Pd12
Radiation: Cu Kα X-rays
Structure: a GGA-PBE-relaxed structure
Neutral-atom scattering factors, no anomalous dispersion.

Structure:
```
Cr2Cu5Pd12
1.0
7.1395 -4.4301 0.0000
7.1395 4.4301 0.0000
-1.2268 0.0000 4.4827
Cr Cu Pd
2 5 12
direct
0.2487 0.7513 0.0000
0.7513 0.2487 0.0000
0.1969 0.1969 0.8418
0.2976 0.2976 0.4129
0.5000 0.5000 0.5000
0.7024 0.7024 0.5871
0.8031 0.8031 0.1582
0.0416 0.5580 0.7936
0.0808 0.0808 0.2552
0.1513 0.6529 0.3837
0.3471 0.8487 0.6163
0.3984 0.3984 0.9680
0.4420 0.9584 0.2064
0.5580 0.0416 0.7936
0.6016 0.6016 0.0320
0.6529 0.1513 0.3837
0.8487 0.3471 0.6163
0.9192 0.9192 0.7448
0.9584 0.4420 0.2064
```

Top 12 peaks for 2θ from 5° to 70°, in order of falling intensity:
2theta  d [Å]  Rel. int.
42.32  2.136  100
40.73  2.215  63
44.30  2.045  61
44.08  2.054  32
34.91  2.570  32
38.83  2.319  28
40.33  2.236  24
57.54  1.602  15
50.12  1.820  13
68.08  1.377  11
45.68  1.986  11
39.08  2.305  7

=====

No. 5
Computed X-ray diffraction stick pattern
Compound: GaPbIN2
Radiation: Cu Kα X-rays
Structure: a GGA-PBE-relaxed structure
Neutral-atom scattering factors, no anomalous dispersion.

Structure:
```
GaPbIN2
1.0
4.5173 0.0000 0.0000
0.0000 4.5173 0.0000
0.0000 0.0000 6.8480
Ga Pb I N
1 1 1 2
direct
0.0000 0.0000 0.0000
0.5000 0.5000 0.5000
0.5000 0.5000 0.0000
0.0000 0.5000 0.5000
0.5000 0.0000 0.5000
```

Top 12 peaks for 2θ from 5° to 70°, in order of falling intensity:
2theta  d [Å]  Rel. int.
19.65  4.517  100
27.93  3.194  92
38.55  2.336  80
26.02  3.424  74
32.82  2.729  57
48.27  1.885  54
39.91  2.259  47
23.59  3.771  45
52.60  1.740  31
44.87  2.020  24
64.37  1.447  22
61.45  1.509  21